Calculated X-ray diffraction stick pattern of Er3Tl2Hg3 for Cu Ka, from a structure optimized by DFT (PBE).

a = 9.0127 Å, b = 9.0127 Å, c = 6.2725 Å
α = 90.00°, β = 90.00°, γ = 120.00°
Element x y z (fractional)
Er1 0.0000 0.3216 0.2500
Er2 0.0000 0.6784 0.7500
Er3 0.3216 0.0000 0.2500
Er4 0.3216 0.3216 0.7500
Er5 0.6784 0.0000 0.7500
Er6 0.6784 0.6784 0.2500
Tl1 0.3333 0.6667 0.0000
Tl2 0.3333 0.6667 0.5000
Tl3 0.6667 0.3333 0.0000
Tl4 0.6667 0.3333 0.5000
Hg1 0.0000 0.3305 0.7500
Hg2 0.0000 0.6695 0.2500
Hg3 0.3305 0.0000 0.7500
Hg4 0.3305 0.3305 0.2500
Hg5 0.6695 0.0000 0.2500
Hg6 0.6695 0.6695 0.7500

The 10 most intense peaks (10° ≤ 2θ ≤ 90°), low angle first:
hkl 1 0 0, 2θ = 11.3°, rel. 18; hkl 0 0 2, 2θ = 28.5°, rel. 12; hkl 3 0 0, 2θ = 34.5°, rel. 100; hkl 1 1 2, 2θ = 34.9°, rel. 79; hkl 3 0 2, 2θ = 45.3°, rel. 20; hkl 2 2 2, 2θ = 49.8°, rel. 29; hkl 3 3 0, 2θ = 61.8°, rel. 19; hkl 4 1 2, 2θ = 62.0°, rel. 30; hkl 3 0 4, 2θ = 70.1°, rel. 26; hkl 5 2 2, 2θ = 83.2°, rel. 13